OF2: simulated XRD peak list (a wavelength of 1.5418 Å), based on a DFT-relaxed cell (PBE, Alexandria).
Neutral-atom scattering factors, no anomalous dispersion.

Structural model:
```
data_OF2
_chemical_formula_sum 'O4 F8'
_symmetry_space_group_name_H-M 'C m c 21'
_symmetry_Int_Tables_number 36
_cell_length_a 5.624
_cell_length_b 6.157
_cell_length_c 5.203
_cell_angle_alpha 90.00
_cell_angle_beta 90.00
_cell_angle_gamma 90.00
loop_
_symmetry_equiv_pos_as_xyz
'x,y,z'
'-x,-y,z+1/2'
'-x,y,z'
'x,-y,z+1/2'
'x+1/2,y+1/2,z'
'-x+1/2,-y+1/2,z+1/2'
'-x+1/2,y+1/2,z'
'x+1/2,-y+1/2,z+1/2'
loop_
_atom_site_label
_atom_site_fract_x
_atom_site_fract_y
_atom_site_fract_z
O1 0.000 0.245 0.000
F1 0.201 0.120 0.919
```

Principal peaks in the range 5 to 70 degrees two-theta, by intensity:
(hkl)  two_theta  d (Å)  I_rel
1 1 1  27.48  3.246  100
0 2 1  33.83  2.649  74
0 0 2  34.47  2.602  54
2 2 1  47.13  1.928  31
1 1 0  21.40  4.152  14
2 0 2  47.62  1.910  11
0 2 3  61.35  1.511  8
0 2 0  29.01  3.078  8
2 4 0  69.64  1.350  7
2 0 0  31.82  2.812  7